Theoretical XRD peak list of CrGe for Cu Kα X-rays, from a DFT-relaxed cell (PBE, Alexandria).

a b c (Å): 4.768 4.768 4.768
angles (deg): 90.00 90.00 90.00
Space group P2_13 (No. 198)
Inequivalent atoms, fractional coordinates:
Cr 0.137 0.137 0.137 x4
Ge 0.155 0.345 0.655 x4

Largest 10 diffraction maxima, sorted by position, 10 to 80 degrees two-theta:
d/Å	2theta	intensity	hkl
3.372	26.44	2	1 1 0
2.753	32.53	17	1 1 1
2.384	37.73	10	2 0 0
2.132	42.39	100	2 1 0
1.947	46.66	54	2 1 1
1.589	58.03	7	2 2 1
1.508	61.50	3	3 0 1
1.438	64.86	10	3 1 1
1.322	71.32	5	3 0 2
1.274	74.45	33	3 1 2

***

Theoretical XRD peak list of Cr2Ge2H for Cu Kα X-rays, from a DFT-relaxed cell (PBE, Alexandria).

a b c (Å): 5.530 5.530 3.954
angles (deg): 90.00 90.00 90.00
Space group P4/mbm (No. 127)
Inequivalent atoms, fractional coordinates:
Cr 0.161 0.339 0.000 x4
Ge 0.162 0.662 0.500 x4
H 0.000 0.000 0.000 x2

Largest 10 diffraction maxima, sorted by position, 10 to 80 degrees two-theta:
d/Å	2theta	intensity	hkl
3.910	22.74	18	1 1 0
2.765	32.38	19	2 0 0
2.097	43.15	100	2 1 1
1.977	45.91	18	0 0 2
1.749	52.32	13	3 1 0
1.608	57.29	7	2 0 2
1.382	67.79	4	4 0 0
1.310	72.11	10	3 1 2
1.303	72.53	8	3 3 0
1.270	74.75	14	4 1 1

***

Theoretical XRD peak list of Cr2GeMoH for Cu Kα X-rays, from a DFT-relaxed cell (PBE, Alexandria).

a b c (Å): 3.835 3.835 3.869
angles (deg): 90.00 90.00 90.00
Space group P4/mmm (No. 123)
Inequivalent atoms, fractional coordinates:
Cr 0.000 0.500 0.000 x2
Ge 0.000 0.000 0.500 x1
Mo 0.500 0.500 0.500 x1
H 0.500 0.500 0.000 x1

Largest 10 diffraction maxima, sorted by position, 10 to 80 degrees two-theta:
d/Å	2theta	intensity	hkl
3.869	22.99	6	0 0 1
3.835	23.19	2	1 0 0
2.712	33.03	5	1 1 0
2.221	40.63	100	1 1 1
1.934	46.97	16	0 0 2
1.918	47.41	32	2 0 0
1.718	53.33	3	2 0 1
1.575	58.62	2	1 1 2
1.362	68.95	19	2 0 2
1.356	69.29	10	2 2 0

***

Theoretical XRD peak list of Cr2HgGe2 for Cu Kα X-rays, from a DFT-relaxed cell (PBE, Alexandria).

a b c (Å): 7.007 7.007 3.139
angles (deg): 90.00 90.00 90.00
Space group P4/mbm (No. 127)
Inequivalent atoms, fractional coordinates:
Cr 0.135 0.365 0.000 x4
Hg 0.000 0.000 0.000 x2
Ge 0.153 0.653 0.500 x4

Largest 10 diffraction maxima, sorted by position, 10 to 80 degrees two-theta:
d/Å	2theta	intensity	hkl
4.955	17.90	19	1 1 0
3.503	25.42	16	2 0 0
2.652	33.81	35	1 1 1
2.477	36.26	17	2 2 0
2.338	38.51	35	2 0 1
2.216	40.71	100	3 1 0
1.945	46.71	12	2 2 1
1.810	50.41	17	3 1 1
1.567	58.95	11	4 2 0
1.281	74.02	21	3 1 2

***

Number 4 is which compound? Cr2HgGe2